This entry pairs a crystal structure of Na3Hf2PaS6 with its calculated powder diffractogram. Radiation: a wavelength of 1.5418 Å. Structure: the PBE geometry in Alexandria.
Lines closer than 0.1° are merged.

Structural model:
```
Na3Hf2PaS6
1.0
3.216 -5.576 0.000
3.216 5.576 0.000
-2.150 0.000 6.881
Na Hf Pa S
3 2 1 6
direct
0.000 0.000 0.000 Na
0.336 0.664 0.000 Na
0.664 0.336 0.000 Na
0.167 0.833 0.500 Hf
0.833 0.167 0.500 Hf
0.500 0.500 0.500 Pa
0.079 0.425 0.274 S
0.230 0.230 0.726 S
0.425 0.079 0.274 S
0.575 0.921 0.726 S
0.770 0.770 0.274 S
0.921 0.575 0.726 S
```

Main lines, low angle first (10° ≤ 2θ ≤ 80°):
- d 6.881, 12.9°, I = 100.0
- d 3.440, 25.9°, I = 14.4
- d 3.179, 28.1°, I = 41.9
- d 3.072, 29.1°, I = 31.8
- d 2.730, 32.8°, I = 83.3
- d 2.538, 35.4°, I = 19.6
- d 2.174, 41.5°, I = 20.0
- d 2.013, 45.0°, I = 33.1
- d 1.858, 49.0°, I = 26.3
- d 1.536, 60.3°, I = 13.9